No. 1
The following is a calculated powder diffraction line list of LaFeNi4. It was derived from a structure optimized by DFT (GGA-PBE), using Cu Ka.
Intensities are scaled so that the largest is 1000.

Main lines, sorted by position (2θ from 10° to 90°):
| 2θ (°) | d/Å | intensity |
| --- | --- | --- |
| 30.47 | 2.934 | 462 |
| 35.64 | 2.519 | 298 |
| 41.38 | 2.182 | 373 |
| 42.52 | 2.126 | 1000 |
| 45.79 | 1.982 | 261 |
| 59.33 | 1.558 | 131 |
| 63.41 | 1.467 | 201 |
| 68.75 | 1.365 | 224 |
| 75.47 | 1.260 | 163 |
| 82.43 | 1.170 | 133 |

Structural model:
Cell: 5.0386 5.0386 3.9634 Å, 90.00 90.00 120.00°
Space group P-6m2 (No. 187)
One atom of each set of equivalent atoms:
La  0.0000  0.0000  0.0000 x1
Fe  0.3333  0.6667  0.0000 x1
Ni  0.5003  0.0005  0.5000 x3
Ni  0.6667  0.3333  0.0000 x1

No. 2
The following is a calculated powder diffraction line list of Cs2NdAgF6. It was derived from a structure optimized by DFT (GGA-PBE), using Cu Ka.
Intensities are scaled so that the largest is 1000.

Main lines, sorted by position (2θ from 10° to 90°):
| 2θ (°) | d/Å | intensity |
| --- | --- | --- |
| 26.33 | 3.384 | 1000 |
| 32.40 | 2.763 | 25 |
| 37.59 | 2.393 | 342 |
| 46.48 | 1.954 | 424 |
| 54.20 | 1.692 | 222 |
| 61.24 | 1.514 | 191 |
| 67.83 | 1.382 | 73 |
| 74.12 | 1.279 | 219 |
| 80.22 | 1.197 | 33 |
| 86.22 | 1.128 | 113 |

Structural model:
Cell: 9.572 9.572 9.572 Å, 90.00 90.00 90.00°
Space group Fm-3m (No. 225)
One atom of each set of equivalent atoms:
Cs  0.250  0.250  0.250 x8
Nd  0.000  0.000  0.000 x4
Ag  0.000  0.000  0.500 x4
F  0.000  0.000  0.239 x24

No. 3
The following is a calculated powder diffraction line list of Li2BPd3. It was derived from a structure optimized by DFT (GGA-PBE), using Cu Ka.
Intensities are scaled so that the largest is 1000.

Main lines, sorted by position (2θ from 10° to 90°):
| 2θ (°) | d/Å | intensity |
| --- | --- | --- |
| 18.36 | 4.832 | 264 |
| 22.53 | 3.946 | 543 |
| 29.22 | 3.056 | 375 |
| 32.08 | 2.790 | 335 |
| 39.56 | 2.278 | 1000 |
| 41.80 | 2.161 | 615 |
| 43.94 | 2.061 | 319 |
| 57.19 | 1.611 | 194 |
| 70.23 | 1.340 | 207 |
| 88.11 | 1.109 | 186 |

Structural model:
Cell: 6.834 6.834 6.834 Å, 90.00 90.00 90.00°
Space group P4_332 (No. 212)
One atom of each set of equivalent atoms:
Li  0.056  0.444  0.556 x8
B  0.125  0.875  0.375 x4
Pd  0.055  0.625  0.195 x12

No. 4
The following is a calculated powder diffraction line list of Na2TmCuCl6. It was derived from a structure optimized by DFT (GGA-PBE), using Cu Ka.
Intensities are scaled so that the largest is 1000.

Main lines, sorted by position (2θ from 10° to 90°):
| 2θ (°) | d/Å | intensity |
| --- | --- | --- |
| 15.09 | 5.871 | 220 |
| 17.44 | 5.084 | 1000 |
| 24.76 | 3.595 | 553 |
| 29.13 | 3.066 | 162 |
| 35.31 | 2.542 | 616 |
| 39.64 | 2.274 | 477 |
| 43.60 | 2.076 | 259 |
| 50.79 | 1.798 | 404 |
| 54.11 | 1.695 | 234 |
| 85.39 | 1.137 | 170 |

Structural model:
Cell: 10.169 10.169 10.169 Å, 90.00 90.00 90.00°
Space group Fm-3m (No. 225)
One atom of each set of equivalent atoms:
Na  0.250  0.250  0.250 x8
Tm  0.000  0.000  0.000 x4
Cu  0.000  0.000  0.500 x4
Cl  0.000  0.000  0.254 x24

No. 5
The following is a calculated powder diffraction line list of InI3O12. It was derived from a structure optimized by DFT (GGA-PBE), using Cu Ka.
Intensities are scaled so that the largest is 1000.

Main lines, sorted by position (2θ from 10° to 90°):
| 2θ (°) | d/Å | intensity |
| --- | --- | --- |
| 17.55 | 5.053 | 1000 |
| 21.53 | 4.127 | 398 |
| 26.16 | 3.407 | 410 |
| 26.29 | 3.390 | 594 |
| 26.59 | 3.352 | 384 |
| 26.79 | 3.327 | 415 |
| 27.15 | 3.284 | 930 |
| 28.47 | 3.135 | 296 |
| 29.61 | 3.017 | 607 |
| 29.74 | 3.004 | 634 |

Structural model:
Cell: 7.207 7.274 10.479 Å, 87.73 73.85 81.65°
Space group P-1 (No. 2)
One atom of each set of equivalent atoms:
In  0.000  0.000  0.000 x1
In  0.000  0.000  0.500 x1
I  0.163  0.576  0.307 x2
I  0.339  0.100  0.176 x2
I  0.490  0.737  0.497 x2
O  0.001  0.638  0.162 x2
O  0.027  0.268  0.572 x2
O  0.097  0.114  0.298 x2
O  0.097  0.186  0.830 x2
O  0.151  0.721  0.877 x2
O  0.237  0.594  0.934 x2
O  0.284  0.997  0.033 x2
O  0.303  0.950  0.516 x2
O  0.309  0.342  0.124 x2
O  0.309  0.572  0.531 x2
O  0.353  0.722  0.252 x2
O  0.467  0.266  0.339 x2

No. 6
The following is a calculated powder diffraction line list of Lu2MgCd. It was derived from a structure optimized by DFT (GGA-PBE), using Cu Ka.
Intensities are scaled so that the largest is 1000.

Main lines, sorted by position (2θ from 10° to 90°):
| 2θ (°) | d/Å | intensity |
| --- | --- | --- |
| 20.82 | 4.267 | 79 |
| 24.08 | 3.695 | 215 |
| 34.32 | 2.613 | 1000 |
| 42.37 | 2.133 | 67 |
| 49.32 | 1.848 | 179 |
| 55.61 | 1.653 | 95 |
| 61.46 | 1.509 | 368 |
| 72.32 | 1.306 | 113 |
| 77.49 | 1.232 | 47 |
| 82.56 | 1.169 | 160 |

Structural model:
Cell: 7.391 7.391 7.391 Å, 90.00 90.00 90.00°
Space group Fm-3m (No. 225)
One atom of each set of equivalent atoms:
Lu  0.250  0.250  0.250 x8
Mg  0.000  0.000  0.000 x4
Cd  0.000  0.000  0.500 x4